[1]
LuScBeIr: calculated XRD peak list (copper Kα), based on the PBE geometry in Alexandria.
Kinematic intensities with the Lorentz-polarization factor, no thermal factor.

Cell and atoms:
```
data_LuScBeIr
_cell_length_a 6.566
_cell_length_b 6.566
_cell_length_c 6.566
_cell_angle_alpha 90.00
_cell_angle_beta 90.00
_cell_angle_gamma 90.00
_symmetry_space_group_name_H-M 'F -4 3 m'
_symmetry_Int_Tables_number 216
_symmetry_space_group_name_Hall 'F -4 2 3'
loop_
_atom_site_label
_atom_site_type_symbol
_atom_site_fract_x
_atom_site_fract_y
_atom_site_fract_z
Lu1 Lu 0.000 0.000 0.000
Sc1 Sc 0.000 0.000 0.500
Be1 Be 0.250 0.250 0.750
Ir1 Ir 0.250 0.250 0.250
```

Most intense lines, 2θ from 15° to 90°, sorted by position:
2θ (°)	d/Å	I_rel
23.47	3.791	70.1
38.79	2.321	100.0
45.84	1.980	37.3
56.02	1.641	17.2
61.57	1.506	15.8
70.23	1.340	34.8
75.19	1.264	11.9
83.24	1.161	11.1
88.00	1.110	12.4

---

[2]
MgBeIr: calculated XRD peak list (copper Kα), based on the PBE geometry in Alexandria.
Kinematic intensities with the Lorentz-polarization factor, no thermal factor.

Cell and atoms:
```
data_MgBeIr
_cell_length_a 4.670
_cell_length_b 5.483
_cell_length_c 6.381
_cell_angle_alpha 90.00
_cell_angle_beta 90.00
_cell_angle_gamma 90.00
_symmetry_space_group_name_H-M 'I m m a'
_symmetry_Int_Tables_number 74
_symmetry_space_group_name_Hall '-I 2b 2'
loop_
_atom_site_label
_atom_site_type_symbol
_atom_site_fract_x
_atom_site_fract_y
_atom_site_fract_z
Mg1 Mg 0.000 0.250 0.127
Be1 Be 0.250 0.250 0.750
Ir1 Ir 0.000 0.000 0.500
```

Most intense lines, 2θ from 15° to 90°, sorted by position:
2θ (°)	d/Å	I_rel
23.61	3.769	100.0
27.97	3.191	37.4
32.67	2.741	18.7
38.56	2.335	21.3
40.70	2.217	72.1
43.53	2.079	26.7
46.94	1.936	24.3
48.30	1.884	19.5
58.36	1.581	17.3
59.53	1.553	18.9

---

[3]
MnBeIr: calculated XRD peak list (copper Kα), based on the PBE geometry in Alexandria.
Kinematic intensities with the Lorentz-polarization factor, no thermal factor.

Cell and atoms:
```
data_MnBeIr
_cell_length_a 3.829
_cell_length_b 12.412
_cell_length_c 2.793
_cell_angle_alpha 90.00
_cell_angle_beta 90.00
_cell_angle_gamma 90.00
_symmetry_space_group_name_H-M 'C m m m'
_symmetry_Int_Tables_number 65
_symmetry_space_group_name_Hall '-C 2 2'
loop_
_atom_site_label
_atom_site_type_symbol
_atom_site_fract_x
_atom_site_fract_y
_atom_site_fract_z
Mn1 Mn 0.000 0.000 0.000
Mn2 Mn 0.000 0.500 0.500
Be1 Be 0.000 0.159 0.500
Ir1 Ir 0.000 0.331 0.000
```

Most intense lines, 2θ from 15° to 90°, sorted by position:
2θ (°)	d/Å	I_rel
24.33	3.659	33.1
31.84	2.810	72.4
32.04	2.793	35.7
35.24	2.547	15.8
43.76	2.069	28.4
45.80	1.981	100.0
47.49	1.914	22.5
66.55	1.405	16.1
81.86	1.177	17.9
87.22	1.118	15.9

---

[4]
MnBeIr: calculated XRD peak list (copper Kα), based on the PBE geometry in Alexandria.
Kinematic intensities with the Lorentz-polarization factor, no thermal factor.

Cell and atoms:
```
data_MnBeIr
_cell_length_a 4.407
_cell_length_b 4.507
_cell_length_c 6.644
_cell_angle_alpha 90.00
_cell_angle_beta 90.00
_cell_angle_gamma 90.00
_symmetry_space_group_name_H-M 'I m m a'
_symmetry_Int_Tables_number 74
_symmetry_space_group_name_Hall '-I 2b 2'
loop_
_atom_site_label
_atom_site_type_symbol
_atom_site_fract_x
_atom_site_fract_y
_atom_site_fract_z
Mn1 Mn 0.250 0.250 0.250
Be1 Be 0.000 0.000 0.000
Ir1 Ir 0.000 0.250 0.609
```

Most intense lines, 2θ from 15° to 90°, sorted by position:
2θ (°)	d/Å	I_rel
23.86	3.730	20.4
24.24	3.672	98.6
39.41	2.286	100.0
40.01	2.254	39.7
45.64	1.988	47.1
47.33	1.921	40.0
47.95	1.897	50.7
72.27	1.307	17.2
73.57	1.287	16.4
84.82	1.143	17.7

---

[5]
BeMo2Ir: calculated XRD peak list (copper Kα), based on the PBE geometry in Alexandria.
Kinematic intensities with the Lorentz-polarization factor, no thermal factor.

Cell and atoms:
```
data_BeMo2Ir
_cell_length_a 3.620
_cell_length_b 3.620
_cell_length_c 8.494
_cell_angle_alpha 90.00
_cell_angle_beta 90.00
_cell_angle_gamma 90.00
_symmetry_space_group_name_H-M 'I 4/m m m'
_symmetry_Int_Tables_number 139
_symmetry_space_group_name_Hall '-I 4 2'
loop_
_atom_site_label
_atom_site_type_symbol
_atom_site_fract_x
_atom_site_fract_y
_atom_site_fract_z
Be1 Be 0.000 0.000 0.000
Mo1 Mo 0.000 0.500 0.250
Ir1 Ir 0.000 0.000 0.500
```

Most intense lines, 2θ from 15° to 90°, sorted by position:
2θ (°)	d/Å	I_rel
26.77	3.330	68.0
40.44	2.230	23.3
41.17	2.193	100.0
42.57	2.124	22.7
50.41	1.810	27.6
57.99	1.590	16.5
68.06	1.378	22.3
76.96	1.239	15.9
88.44	1.105	23.3
89.37	1.096	11.5

---

[6]
PaBeIrN: calculated XRD peak list (copper Kα), based on the PBE geometry in Alexandria.
Kinematic intensities with the Lorentz-polarization factor, no thermal factor.

Cell and atoms:
```
data_PaBeIrN
_cell_length_a 3.894
_cell_length_b 3.894
_cell_length_c 7.363
_cell_angle_alpha 90.00
_cell_angle_beta 90.00
_cell_angle_gamma 90.00
_symmetry_space_group_name_H-M 'P 4/n m m'
_symmetry_Int_Tables_number 129
loop_
_symmetry_equiv_pos_as_xyz
'x,y,z'
'-x,-y,-z'
'-y+1/2,x,z'
'y+1/2,-x,-z'
'-x+1/2,-y+1/2,z'
'x+1/2,y+1/2,-z'
'y,-x+1/2,z'
'-y,x+1/2,-z'
'x+1/2,-y,-z'
'-x+1/2,y,z'
'-y,-x,-z'
'y,x,z'
'-x,y+1/2,-z'
'x,-y+1/2,z'
'y+1/2,x+1/2,-z'
'-y+1/2,-x+1/2,z'
loop_
_atom_site_label
_atom_site_type_symbol
_atom_site_fract_x
_atom_site_fract_y
_atom_site_fract_z
Pa1 Pa 0.250 0.250 0.183
Be1 Be 0.250 0.250 0.664
Ir1 Ir 0.250 0.750 0.500
N1 N 0.250 0.250 0.887
```

Most intense lines, 2θ from 15° to 90°, sorted by position:
2θ (°)	d/Å	I_rel
25.88	3.442	91.7
33.50	2.675	34.2
34.78	2.579	100.0
36.61	2.454	43.0
40.93	2.205	89.0
46.65	1.947	50.0
54.12	1.695	26.4
60.72	1.525	40.5
72.84	1.299	20.1
82.62	1.168	24.5

---

[7]
UBeIrN: calculated XRD peak list (copper Kα), based on the PBE geometry in Alexandria.
Kinematic intensities with the Lorentz-polarization factor, no thermal factor.

Cell and atoms:
```
data_UBeIrN
_cell_length_a 3.769
_cell_length_b 3.769
_cell_length_c 7.674
_cell_angle_alpha 90.00
_cell_angle_beta 90.00
_cell_angle_gamma 90.00
_symmetry_space_group_name_H-M 'P 4/n m m'
_symmetry_Int_Tables_number 129
loop_
_symmetry_equiv_pos_as_xyz
'x,y,z'
'-x,-y,-z'
'-y+1/2,x,z'
'y+1/2,-x,-z'
'-x+1/2,-y+1/2,z'
'x+1/2,y+1/2,-z'
'y,-x+1/2,z'
'-y,x+1/2,-z'
'x+1/2,-y,-z'
'-x+1/2,y,z'
'-y,-x,-z'
'y,x,z'
'-x,y+1/2,-z'
'x,-y+1/2,z'
'y+1/2,x+1/2,-z'
'-y+1/2,-x+1/2,z'
loop_
_atom_site_label
_atom_site_type_symbol
_atom_site_fract_x
_atom_site_fract_y
_atom_site_fract_z
U1 U 0.250 0.250 0.169
Be1 Be 0.250 0.250 0.671
Ir1 Ir 0.250 0.750 0.500
N1 N 0.250 0.250 0.885
```

Most intense lines, 2θ from 15° to 90°, sorted by position:
2θ (°)	d/Å	I_rel
26.35	3.383	76.2
33.32	2.689	43.4
35.08	2.558	48.4
35.67	2.517	100.0
41.25	2.189	68.6
48.30	1.884	43.1
55.85	1.646	21.1
59.36	1.557	23.0
61.08	1.517	40.0
81.78	1.178	19.2

---

[8]
Be4NbIr5: calculated XRD peak list (copper Kα), based on the PBE geometry in Alexandria.
Kinematic intensities with the Lorentz-polarization factor, no thermal factor.

Cell and atoms:
```
data_Be4NbIr5
_cell_length_a 2.826
_cell_length_b 2.826
_cell_length_c 15.156
_cell_angle_alpha 90.00
_cell_angle_beta 90.00
_cell_angle_gamma 90.00
_symmetry_space_group_name_H-M 'P 4/m m m'
_symmetry_Int_Tables_number 123
_symmetry_space_group_name_Hall '-P 4 2'
loop_
_atom_site_label
_atom_site_type_symbol
_atom_site_fract_x
_atom_site_fract_y
_atom_site_fract_z
Be1 Be 0.000 0.000 0.092
Be2 Be 0.000 0.000 0.277
Nb1 Nb 0.000 0.000 0.500
Ir1 Ir 0.500 0.500 0.000
Ir2 Ir 0.500 0.500 0.185
Ir3 Ir 0.500 0.500 0.371
```

Most intense lines, 2θ from 15° to 90°, sorted by position:
2θ (°)	d/Å	I_rel
29.47	3.031	35.8
31.66	2.826	100.0
35.54	2.526	21.0
43.80	2.067	92.5
45.39	1.998	62.5
48.33	1.883	20.0
55.05	1.668	26.0
66.14	1.413	20.5
76.99	1.238	22.0
82.74	1.166	30.0

---

[9]
BeNbIr: calculated XRD peak list (copper Kα), based on the PBE geometry in Alexandria.
Kinematic intensities with the Lorentz-polarization factor, no thermal factor.

Cell and atoms:
```
data_BeNbIr
_cell_length_a 6.461
_cell_length_b 3.399
_cell_length_c 11.139
_cell_angle_alpha 90.00
_cell_angle_beta 90.72
_cell_angle_gamma 90.00
_symmetry_space_group_name_H-M 'P 1 21/m 1'
_symmetry_Int_Tables_number 11
_symmetry_space_group_name_Hall '-P 2yb'
loop_
_atom_site_label
_atom_site_type_symbol
_atom_site_fract_x
_atom_site_fract_y
_atom_site_fract_z
Be1 Be 0.227 0.250 0.249
Be2 Be 0.262 0.250 0.580
Be3 Be 0.263 0.750 0.912
Nb1 Nb 0.033 0.750 0.115
Nb2 Nb 0.151 0.750 0.420
Nb3 Nb 0.476 0.250 0.790
Ir1 Ir 0.137 0.750 0.704
Ir2 Ir 0.346 0.250 0.046
Ir3 Ir 0.485 0.250 0.402
```

Most intense lines, 2θ from 15° to 90°, sorted by position:
2θ (°)	d/Å	I_rel
27.58	3.234	26.7
27.87	3.202	21.4
30.79	2.904	44.4
38.42	2.343	100.0
38.63	2.331	47.9
41.96	2.153	42.8
42.62	2.121	35.2
42.85	2.111	21.6
43.12	2.098	25.1
53.94	1.700	23.4

---

[10]
BeNbSbPIr: calculated XRD peak list (copper Kα), based on the PBE geometry in Alexandria.
Kinematic intensities with the Lorentz-polarization factor, no thermal factor.

Cell and atoms:
```
data_BeNbSbPIr
_cell_length_a 10.894
_cell_length_b 2.915
_cell_length_c 5.655
_cell_angle_alpha 90.00
_cell_angle_beta 108.61
_cell_angle_gamma 90.00
_symmetry_space_group_name_H-M 'C 1 m 1'
_symmetry_Int_Tables_number 8
_symmetry_space_group_name_Hall 'C -2y'
loop_
_atom_site_label
_atom_site_type_symbol
_atom_site_fract_x
_atom_site_fract_y
_atom_site_fract_z
Be1 Be 0.000 0.000 0.000
Nb1 Nb 0.198 0.000 0.408
Sb1 Sb 0.234 0.000 0.943
P1 P 0.408 0.500 0.599
Ir1 Ir 0.471 0.000 0.317
```

Most intense lines, 2θ from 15° to 90°, sorted by position:
2θ (°)	d/Å	I_rel
16.54	5.359	72.8
19.71	4.505	58.0
27.55	3.237	29.9
31.90	2.805	63.1
32.36	2.766	36.3
33.44	2.680	37.0
34.77	2.580	100.0
40.57	2.224	74.6
47.41	1.917	74.0
49.00	1.859	53.4

---

[11]
BeNi2Ir: calculated XRD peak list (copper Kα), based on the PBE geometry in Alexandria.
Kinematic intensities with the Lorentz-polarization factor, no thermal factor.

Cell and atoms:
```
data_BeNi2Ir
_cell_length_a 2.712
_cell_length_b 2.712
_cell_length_c 5.996
_cell_angle_alpha 90.00
_cell_angle_beta 90.00
_cell_angle_gamma 90.00
_symmetry_space_group_name_H-M 'P 4 m m'
_symmetry_Int_Tables_number 99
_symmetry_space_group_name_Hall 'P 4 -2'
loop_
_atom_site_label
_atom_site_type_symbol
_atom_site_fract_x
_atom_site_fract_y
_atom_site_fract_z
Be1 Be 0.000 0.000 0.000
Ni1 Ni 0.000 0.000 0.528
Ni2 Ni 0.500 0.500 0.795
Ir1 Ir 0.500 0.500 0.239
```

Most intense lines, 2θ from 15° to 90°, sorted by position:
2θ (°)	d/Å	I_rel
29.80	2.998	24.6
33.03	2.712	41.0
36.36	2.471	51.2
45.08	2.011	100.0
47.40	1.918	47.2
57.00	1.616	16.5
67.71	1.384	15.2
69.29	1.356	14.7
81.50	1.181	13.0
86.57	1.124	30.0

---

[12]
BeNiIr: calculated XRD peak list (copper Kα), based on the PBE geometry in Alexandria.
Kinematic intensities with the Lorentz-polarization factor, no thermal factor.

Cell and atoms:
```
data_BeNiIr
_cell_length_a 2.722
_cell_length_b 2.722
_cell_length_c 8.926
_cell_angle_alpha 90.00
_cell_angle_beta 90.00
_cell_angle_gamma 90.00
_symmetry_space_group_name_H-M 'I 4 m m'
_symmetry_Int_Tables_number 107
_symmetry_space_group_name_Hall 'I 4 -2'
loop_
_atom_site_label
_atom_site_type_symbol
_atom_site_fract_x
_atom_site_fract_y
_atom_site_fract_z
Be1 Be 0.000 0.000 0.000
Ni1 Ni 0.000 0.000 0.357
Ir1 Ir 0.000 0.000 0.657
```

Most intense lines, 2θ from 15° to 90°, sorted by position:
2θ (°)	d/Å	I_rel
19.89	4.463	58.3
34.45	2.603	100.0
40.42	2.232	24.1
45.15	2.008	96.4
47.23	1.925	45.6
51.73	1.767	20.3
63.87	1.457	25.0
79.47	1.206	18.7
83.77	1.155	14.7
86.36	1.127	30.1